The following is a calculated XRD peak list of Sn7Os3. It was derived from a DFT-relaxed cell (GGA-PBE, OQMD), using copper Kα.

Largest 12 diffraction maxima, sorted by position, 10° ≤ 2θ ≤ 80°:
2θ = 18.7°, I 10.7; 2θ = 23.0°, I 28.1; 2θ = 32.8°, I 31.7; 2θ = 35.5°, I 23.5; 2θ = 40.4°, I 100.0; 2θ = 42.7°, I 6.8; 2θ = 47.0°, I 18.9; 2θ = 54.8°, I 6.7; 2θ = 58.5°, I 20.0; 2θ = 60.2°, I 8.6; 2θ = 63.7°, I 15.1; 2θ = 73.5°, I 36.4

Structure:
```
data_Sn7Os3
_space_group_name_H-M_alt 'I m -3 m'
_space_group_IT_number 229
_space_group_name_Hall '-I 4 2 3'
_cell_length_a 9.470
_cell_length_b 9.470
_cell_length_c 9.470
_cell_angle_alpha 90.00
_cell_angle_beta 90.00
_cell_angle_gamma 90.00
loop_
_atom_site_label
_atom_site_type_symbol
_atom_site_fract_x
_atom_site_fract_y
_atom_site_fract_z
Sn1 Sn 0.000 0.250 0.500
Sn2 Sn 0.161 0.161 0.161
Os1 Os 0.000 0.000 0.344
```